This entry pairs a crystal structure of PNF2 with its computed powder XRD pattern. Radiation: Cu Ka. Structure: a crystal structure in the Materials Project, relaxed with PBE.

Most intense lines, 15° ≤ 2θ ≤ 90°, by angle:
| d_spacing | 2θ (°) | I (rel.) | index |
| --- | --- | --- | --- |
| 5.685 | 15.59 | 87 | 1 0 1 |
| 4.179 | 21.26 | 33 | 1 2 1 |
| 3.884 | 22.90 | 100 | 1 0 2 |
| 3.754 | 23.70 | 61 | 0 3 1 |
| 3.363 | 26.50 | 50 | 2 0 1 |
| 3.331 | 26.77 | 86 | 1 3 1 |

Structural model:
```
data_PNF2
_cell_length_a 7.2246
_cell_length_b 12.3302
_cell_length_c 9.2133
_cell_angle_alpha 90.00
_cell_angle_beta 90.00
_cell_angle_gamma 90.00
_symmetry_space_group_name_H-M 'P n m a'
_symmetry_Int_Tables_number 62
loop_
_symmetry_equiv_pos_as_xyz
'x,y,z'
'-x,-y,-z'
'-x+1/2,-y,z+1/2'
'x+1/2,y,-z+1/2'
'x+1/2,-y+1/2,-z+1/2'
'-x+1/2,y+1/2,z+1/2'
'-x,y+1/2,-z'
'x,-y+1/2,z'
loop_
_atom_site_label
_atom_site_fract_x
_atom_site_fract_y
_atom_site_fract_z
P1 0.0919 0.2500 0.0591
P2 0.1672 0.6386 0.0989
N1 0.0032 0.1391 0.0089
N2 0.2459 0.2500 0.6509
F1 0.1088 0.2500 0.2281
F2 0.1186 0.5691 0.2348
F3 0.1769 0.0660 0.5351
F4 0.1975 0.7500 0.5227
```



This entry pairs a crystal structure of CeN with its computed powder XRD pattern. Radiation: Cu Ka. Structure: a crystal structure in the Materials Project, relaxed with PBE.

Most intense lines, 15° ≤ 2θ ≤ 90°, by angle:
| d_spacing | 2θ (°) | I (rel.) | index |
| --- | --- | --- | --- |
| 2.916 | 30.66 | 100 | 1 1 1 |
| 2.526 | 35.54 | 75 | 2 0 0 |
| 1.786 | 51.15 | 52 | 2 2 0 |
| 1.523 | 60.82 | 45 | 3 1 1 |
| 1.159 | 83.40 | 19 | 3 3 1 |
| 1.130 | 86.08 | 23 | 4 2 0 |

Structural model:
```
data_CeN
_cell_length_a 5.0513
_cell_length_b 5.0513
_cell_length_c 5.0513
_cell_angle_alpha 90.00
_cell_angle_beta 90.00
_cell_angle_gamma 90.00
_symmetry_space_group_name_H-M 'F m -3 m'
_symmetry_Int_Tables_number 225
_symmetry_space_group_name_Hall '-F 4 2 3'
loop_
_atom_site_label
_atom_site_fract_x
_atom_site_fract_y
_atom_site_fract_z
Ce1 0.0000 0.0000 0.0000
N1 0.0000 0.0000 0.5000
```